[1]
For BaAg3, DFT lattice parameters and positions (PBE) gives the simulated X-ray diffraction stick pattern in this record (Cu Kα (λ = 1.5418 Å)).
Intensities are scaled so that the largest is 100.

Peak list (8 most intense, 2θ from 15° to 90°, by angle)
- 15.87°, d 5.585, I = 33.5
- 30.20°, d 2.960, I = 80.4
- 32.05°, d 2.793, I = 22.0
- 34.29°, d 2.615, I = 34.0
- 37.24°, d 2.414, I = 100.0
- 49.93°, d 1.826, I = 36.7
- 59.43°, d 1.555, I = 25.2
- 84.19°, d 1.150, I = 22.4

Structural model:
```
BaAg3
1.0
2.4145 1.3940 5.5854
-2.4145 1.3940 5.5854
0.0000 -2.7880 5.5854
Ba Ag
1 3
direct
0.0000 0.0000 0.0000
0.2004 0.2004 0.2004
0.5000 0.5000 0.5000
0.7996 0.7996 0.7996
```

***

[2]
For Ba2Ag17, DFT lattice parameters and positions (PBE) gives the simulated X-ray diffraction stick pattern in this record (Cu Kα (λ = 1.5418 Å)).
Intensities are scaled so that the largest is 100.

Peak list (8 most intense, 2θ from 15° to 90°, by angle)
- 31.42°, d 2.847, I = 31.6
- 32.39°, d 2.764, I = 25.4
- 36.44°, d 2.465, I = 63.7
- 36.63°, d 2.453, I = 100.0
- 37.19°, d 2.417, I = 38.0
- 41.10°, d 2.196, I = 69.5
- 53.08°, d 1.725, I = 23.4
- 65.58°, d 1.423, I = 27.2

Structural model:
```
Ba2Ag17
1.0
4.9308 2.8468 4.8349
-4.9308 2.8468 4.8349
0.0000 -5.6936 4.8349
Ba Ag
2 17
direct
0.1594 0.1594 0.1594
0.8406 0.8406 0.8406
0.0000 0.5000 0.5000
0.1565 0.1565 0.6523
0.1565 0.6523 0.1565
0.2069 0.5000 0.7931
0.2069 0.7931 0.5000
0.3477 0.8435 0.8435
0.4034 0.4034 0.4034
0.5000 0.0000 0.5000
0.5000 0.2069 0.7931
0.5000 0.5000 0.0000
0.5000 0.7931 0.2069
0.5966 0.5966 0.5966
0.6523 0.1565 0.1565
0.7931 0.2069 0.5000
0.7931 0.5000 0.2069
0.8435 0.3477 0.8435
0.8435 0.8435 0.3477
```

***

[3]
For Ba3Ag2, DFT lattice parameters and positions (PBE) gives the simulated X-ray diffraction stick pattern in this record (Cu Kα (λ = 1.5418 Å)).
Intensities are scaled so that the largest is 100.

Peak list (8 most intense, 2θ from 15° to 90°, by angle)
- 26.44°, d 3.371, I = 47.4
- 27.28°, d 3.270, I = 55.4
- 27.46°, d 3.249, I = 52.5
- 28.10°, d 3.176, I = 100.0
- 29.83°, d 2.995, I = 46.7
- 30.43°, d 2.937, I = 59.4
- 33.31°, d 2.690, I = 61.1
- 37.48°, d 2.400, I = 48.9

Structural model:
```
Ba3Ag2
1.0
13.3891 0.0000 0.0000
0.0000 4.7996 0.0000
0.0000 0.0000 13.3981
Ba Ag
12 8
direct
0.0510 0.2500 0.1295
0.1160 0.7500 0.5603
0.2227 0.2500 0.8055
0.2773 0.7500 0.3055
0.3840 0.2500 0.0603
0.4490 0.7500 0.6295
0.5510 0.2500 0.3705
0.6160 0.7500 0.9397
0.7227 0.2500 0.6945
0.7773 0.7500 0.1945
0.8840 0.2500 0.4397
0.9490 0.7500 0.8705
0.0151 0.7500 0.3144
0.1937 0.7500 0.0020
0.3063 0.2500 0.5020
0.4849 0.2500 0.8144
0.5151 0.7500 0.1856
0.6937 0.7500 0.4980
0.8063 0.2500 0.9980
0.9849 0.2500 0.6856
```